(1)
Computed powder X-ray diffraction pattern of KCaB6C6 for Cu Kα (weighted mean of Kα1 and Kα2), from DFT lattice parameters and positions (PBE).
Lines closer than 0.1° are merged.

Most intense lines, 10 to 90 degrees two-theta, in order of falling intensity:
2θ 46.08, rel. 100.0
2θ 37.27, rel. 51.1
2θ 73.43, rel. 41.1
2θ 26.12, rel. 34.5
2θ 79.46, rel. 9.9
2θ 60.70, rel. 7.6
2θ 53.74, rel. 5.6
2θ 85.36, rel. 3.9
2θ 41.87, rel. 1.0

Cell and atoms:
a = 4.825 Å, b = 4.825 Å, c = 4.825 Å
α = 90.00°, β = 90.00°, γ = 90.00°
Positions (direct):
K 0.000 0.000 0.000
Ca 0.500 0.500 0.500
B 0.000 0.249 0.500
B 0.000 0.751 0.500
B 0.249 0.500 0.000
B 0.500 0.000 0.249
B 0.500 0.000 0.751
B 0.751 0.500 0.000
C 0.000 0.500 0.255
C 0.000 0.500 0.745
C 0.255 0.000 0.500
C 0.500 0.255 0.000
C 0.500 0.745 0.000
C 0.745 0.000 0.500

(2)
Computed powder X-ray diffraction pattern of In3Fe5 for Cu Kα (weighted mean of Kα1 and Kα2), from DFT lattice parameters and positions (PBE).
Lines closer than 0.1° are merged.

Most intense lines, 10 to 90 degrees two-theta, in order of falling intensity:
2θ 39.63, rel. 100.0
2θ 44.52, rel. 16.7
2θ 46.22, rel. 16.1
2θ 47.48, rel. 14.8
2θ 81.14, rel. 11.1
2θ 83.00, rel. 10.5
2θ 78.69, rel. 10.3
2θ 66.11, rel. 9.6
2θ 68.42, rel. 9.3
2θ 85.37, rel. 9.2

Cell and atoms:
a = 5.589 Å, b = 5.589 Å, c = 3.928 Å
α = 90.00°, β = 90.00°, γ = 93.48°
Positions (direct):
In 0.000 0.000 0.000
In 0.268 0.732 0.500
In 0.732 0.268 0.500
Fe 0.000 0.500 0.000
Fe 0.254 0.254 0.500
Fe 0.500 0.000 0.000
Fe 0.500 0.500 0.000
Fe 0.746 0.746 0.500

(3)
Computed powder X-ray diffraction pattern of BaPbCl3 for Cu Kα (weighted mean of Kα1 and Kα2), from DFT lattice parameters and positions (PBE).
Lines closer than 0.1° are merged.

Most intense lines, 10 to 90 degrees two-theta, in order of falling intensity:
2θ 21.08, rel. 100.0
2θ 36.94, rel. 50.2
2θ 29.98, rel. 47.8
2θ 42.91, rel. 35.0
2θ 57.88, rel. 28.2
2θ 48.28, rel. 23.9
2θ 82.52, rel. 16.2
2θ 25.89, rel. 15.7
2θ 70.67, rel. 15.7
2θ 66.56, rel. 14.1

Cell and atoms:
a = 5.961 Å, b = 5.961 Å, c = 5.961 Å
α = 90.00°, β = 90.00°, γ = 90.00°
Positions (direct):
Ba 0.000 0.000 0.000
Pb 0.500 0.500 0.500
Cl 0.000 0.000 0.500
Cl 0.000 0.500 0.000
Cl 0.500 0.000 0.000

(4)
Computed powder X-ray diffraction pattern of Sm3Cd7Ag2 for Cu Kα (weighted mean of Kα1 and Kα2), from DFT lattice parameters and positions (PBE).
Lines closer than 0.1° are merged.

Most intense lines, 10 to 90 degrees two-theta, in order of falling intensity:
2θ 35.80, rel. 100.0
2θ 35.25, rel. 32.8
2θ 30.28, rel. 30.7
2θ 38.59, rel. 27.4
2θ 62.98, rel. 25.1
2θ 57.43, rel. 24.6
2θ 30.54, rel. 24.3
2θ 37.81, rel. 20.9
2θ 27.98, rel. 19.9
2θ 75.85, rel. 15.1

Cell and atoms:
a = 10.110 Å, b = 10.110 Å, c = 10.110 Å
α = 33.95°, β = 33.95°, γ = 33.95°
Positions (direct):
Sm 0.000 0.000 0.000
Sm 0.142 0.142 0.142
Sm 0.858 0.858 0.858
Cd 0.077 0.585 0.585
Cd 0.415 0.415 0.923
Cd 0.415 0.923 0.415
Cd 0.500 0.500 0.500
Cd 0.585 0.077 0.585
Cd 0.585 0.585 0.077
Cd 0.923 0.415 0.415
Ag 0.334 0.334 0.334
Ag 0.666 0.666 0.666

(5)
Computed powder X-ray diffraction pattern of K3As11 for Cu Kα (weighted mean of Kα1 and Kα2), from DFT lattice parameters and positions (PBE).
Lines closer than 0.1° are merged.

Most intense lines, 10 to 90 degrees two-theta, in order of falling intensity:
2θ 12.67, rel. 100.0
2θ 25.47, rel. 45.5
2θ 29.17, rel. 37.0
2θ 15.66, rel. 27.4
2θ 37.91, rel. 26.8
2θ 31.08, rel. 22.3
2θ 12.13, rel. 20.4
2θ 29.32, rel. 20.1
2θ 25.66, rel. 17.8
2θ 43.59, rel. 17.1

Cell and atoms:
a = 11.316 Å, b = 14.588 Å, c = 11.196 Å
α = 90.00°, β = 90.00°, γ = 90.00°
Positions (direct):
K 0.000 0.218 0.250
K 0.000 0.782 0.750
K 0.238 0.490 0.083
K 0.238 0.510 0.583
K 0.262 0.010 0.583
K 0.262 0.990 0.083
K 0.500 0.282 0.750
K 0.500 0.718 0.250
K 0.738 0.010 0.917
K 0.738 0.990 0.417
K 0.762 0.490 0.417
K 0.762 0.510 0.917
As 0.000 0.019 0.750
As 0.000 0.981 0.250
As 0.023 0.360 0.497
As 0.023 0.640 0.997
As 0.080 0.129 0.891
As 0.080 0.871 0.391
As 0.085 0.391 0.820
As 0.085 0.609 0.320
As 0.103 0.214 0.560
As 0.103 0.786 0.060
As 0.186 0.244 0.765
As 0.186 0.756 0.265
As 0.314 0.256 0.265
As 0.314 0.744 0.765
As 0.397 0.286 0.060
As 0.397 0.714 0.560
As 0.415 0.109 0.320
As 0.415 0.891 0.820
As 0.420 0.371 0.391
As 0.420 0.629 0.891
As 0.477 0.140 0.997
As 0.477 0.860 0.497
As 0.500 0.481 0.250
As 0.500 0.519 0.750
As 0.523 0.140 0.503
As 0.523 0.860 0.003
As 0.580 0.371 0.109
As 0.580 0.629 0.609
As 0.585 0.109 0.180
As 0.585 0.891 0.680
As 0.603 0.286 0.440
As 0.603 0.714 0.940
As 0.686 0.256 0.235
As 0.686 0.744 0.735
As 0.814 0.244 0.735
As 0.814 0.756 0.235
As 0.897 0.214 0.940
As 0.897 0.786 0.440
As 0.915 0.391 0.680
As 0.915 0.609 0.180
As 0.920 0.129 0.609
As 0.920 0.871 0.109
As 0.977 0.360 0.003
As 0.977 0.640 0.503

(6)
Computed powder X-ray diffraction pattern of Sm3MgSn2 for Cu Kα (weighted mean of Kα1 and Kα2), from DFT lattice parameters and positions (PBE).
Lines closer than 0.1° are merged.

Most intense lines, 10 to 90 degrees two-theta, in order of falling intensity:
2θ 39.51, rel. 100.0
2θ 34.86, rel. 67.1
2θ 29.88, rel. 66.2
2θ 35.24, rel. 65.3
2θ 29.44, rel. 62.5
2θ 51.65, rel. 51.5
2θ 37.65, rel. 50.1
2θ 31.91, rel. 49.8
2θ 28.87, rel. 48.7
2θ 27.41, rel. 34.1

Cell and atoms:
a = 9.571 Å, b = 9.571 Å, c = 9.571 Å
α = 140.26°, β = 56.95°, γ = 140.94°
Positions (direct):
Sm 0.176 0.746 0.922
Sm 0.250 0.250 0.000
Sm 0.324 0.246 0.570
Sm 0.676 0.754 0.430
Sm 0.750 0.750 0.000
Sm 0.824 0.254 0.078
Mg 0.250 0.750 0.500
Mg 0.750 0.250 0.500
Sn 0.134 0.254 0.388
Sn 0.366 0.754 0.120
Sn 0.634 0.246 0.880
Sn 0.866 0.746 0.612

(7)
Computed powder X-ray diffraction pattern of DyNbAs2Rh5 for Cu Kα (weighted mean of Kα1 and Kα2), from DFT lattice parameters and positions (PBE).
Lines closer than 0.1° are merged.

Most intense lines, 10 to 90 degrees two-theta, in order of falling intensity:
2θ 46.01, rel. 100.0
2θ 32.70, rel. 84.5
2θ 45.36, rel. 73.8
2θ 24.24, rel. 53.1
2θ 35.69, rel. 43.5
2θ 84.26, rel. 34.0
2θ 52.08, rel. 25.9
2θ 40.26, rel. 25.9
2θ 33.12, rel. 24.3
2θ 66.09, rel. 23.5

Cell and atoms:
a = 3.999 Å, b = 3.999 Å, c = 11.015 Å
α = 90.00°, β = 90.00°, γ = 90.00°
Positions (direct):
Dy 0.000 0.000 0.000
Nb 0.500 0.500 0.500
As 0.500 0.500 0.215
As 0.500 0.500 0.785
Rh 0.000 0.500 0.348
Rh 0.000 0.500 0.652
Rh 0.500 0.000 0.348
Rh 0.500 0.000 0.652
Rh 0.500 0.500 0.000

(8)
Computed powder X-ray diffraction pattern of Ba3SrIr2O9 for Cu Kα (weighted mean of Kα1 and Kα2), from DFT lattice parameters and positions (PBE).
Lines closer than 0.1° are merged.

Most intense lines, 10 to 90 degrees two-theta, in order of falling intensity:
2θ 29.54, rel. 100.0
2θ 29.28, rel. 73.1
2θ 28.51, rel. 28.4
2θ 18.11, rel. 21.7
2θ 52.10, rel. 19.3
2θ 29.84, rel. 17.4
2θ 61.32, rel. 16.7
2θ 17.58, rel. 15.4
2θ 17.98, rel. 15.2
2θ 25.10, rel. 14.6

Cell and atoms:
a = 6.050 Å, b = 6.050 Å, c = 15.063 Å
α = 91.59°, β = 91.59°, γ = 119.37°
Positions (direct):
Ba 0.012 0.988 0.750
Ba 0.326 0.659 0.410
Ba 0.341 0.674 0.090
Ba 0.659 0.326 0.910
Ba 0.674 0.341 0.590
Ba 0.988 0.012 0.250
Sr 0.000 0.000 0.000
Sr 0.000 0.000 0.500
Ir 0.312 0.639 0.834
Ir 0.361 0.688 0.666
Ir 0.639 0.312 0.334
Ir 0.688 0.361 0.166
O 0.035 0.511 0.734
O 0.133 0.771 0.905
O 0.137 0.318 0.893
O 0.229 0.867 0.595
O 0.232 0.416 0.574
O 0.318 0.137 0.393
O 0.416 0.232 0.074
O 0.489 0.965 0.766
O 0.491 0.509 0.750
O 0.509 0.491 0.250
O 0.511 0.035 0.234
O 0.584 0.768 0.926
O 0.682 0.863 0.607
O 0.768 0.584 0.426
O 0.771 0.133 0.405
O 0.863 0.682 0.107
O 0.867 0.229 0.095
O 0.965 0.489 0.266

(9)
Computed powder X-ray diffraction pattern of LiTm3Mg7 for Cu Kα (weighted mean of Kα1 and Kα2), from DFT lattice parameters and positions (PBE).
Lines closer than 0.1° are merged.

Most intense lines, 10 to 90 degrees two-theta, in order of falling intensity:
2θ 13.91, rel. 100.0
2θ 19.80, rel. 45.8
2θ 41.75, rel. 38.5
2θ 29.80, rel. 37.5
2θ 33.58, rel. 37.4
2θ 24.40, rel. 37.4
2θ 32.48, rel. 29.9
2θ 29.68, rel. 27.4
2θ 30.40, rel. 26.7
2θ 34.14, rel. 24.4

Cell and atoms:
a = 11.066 Å, b = 11.066 Å, c = 15.655 Å
α = 90.00°, β = 90.00°, γ = 162.94°
Positions (direct):
Li 0.110 0.890 0.750
Li 0.890 0.110 0.250
Tm 0.081 0.919 0.037
Tm 0.081 0.919 0.463
Tm 0.254 0.746 0.750
Tm 0.746 0.254 0.250
Tm 0.919 0.081 0.537
Tm 0.919 0.081 0.963
Mg 0.292 0.708 0.565
Mg 0.292 0.708 0.935
Mg 0.333 0.667 0.112
Mg 0.333 0.667 0.388
Mg 0.403 0.597 0.750
Mg 0.474 0.526 0.139
Mg 0.474 0.526 0.361
Mg 0.526 0.474 0.639
Mg 0.526 0.474 0.861
Mg 0.597 0.403 0.250
Mg 0.667 0.333 0.612
Mg 0.667 0.333 0.888
Mg 0.708 0.292 0.065
Mg 0.708 0.292 0.435